No. 1
Diffraction record for KIn2PbI8. The powder X-ray diffraction pattern is calculated, not measured: it uses a PBE-relaxed structure and Cu Kα.
Intensities are scaled so that the largest is 100.

The 10 most intense peaks (2θ from 15° to 90°), low angle first:
d (Å)  two_theta  intensity
5.261  16.85  29
4.790  18.52  42
3.865  23.01  35
3.814  23.32  95
3.626  24.55  60
3.186  28.00  100
2.715  32.99  65
2.308  39.03  52
2.202  40.98  80
1.981  45.80  31

Crystal structure
a b c (Å): 12.402 12.402 12.402
angles (deg): 35.83 35.83 35.83
Element x y z (fractional)
K 0.000 0.000 0.000
In 0.253 0.253 0.253
In 0.747 0.747 0.747
Pb 0.500 0.500 0.500
I 0.124 0.408 0.784
I 0.216 0.592 0.876
I 0.334 0.334 0.334
I 0.408 0.784 0.124
I 0.592 0.876 0.216
I 0.666 0.666 0.666
I 0.784 0.124 0.408
I 0.876 0.216 0.592

***

No. 2
Diffraction record for Nd6PuN8. The powder X-ray diffraction pattern is calculated, not measured: it uses a PBE-relaxed structure and Cu Kα.
Intensities are scaled so that the largest is 100.

The 10 most intense peaks (2θ from 15° to 90°), low angle first:
d (Å)  two_theta  intensity
5.884  15.06  34
3.073  29.06  18
2.942  30.38  100
2.548  35.23  74
1.961  46.29  8
1.802  50.67  50
1.536  60.24  47
1.471  63.22  17
1.169  82.52  20
1.139  85.16  22

Crystal structure
a b c (Å): 7.206 7.206 7.206
angles (deg): 60.00 60.00 60.00
Element x y z (fractional)
Nd 0.000 0.000 0.500
Nd 0.000 0.500 0.000
Nd 0.000 0.500 0.500
Nd 0.500 0.000 0.000
Nd 0.500 0.000 0.500
Nd 0.500 0.500 0.000
Pu 0.000 0.000 0.000
N 0.213 0.213 0.787
N 0.213 0.787 0.213
N 0.213 0.787 0.787
N 0.250 0.250 0.250
N 0.750 0.750 0.750
N 0.787 0.213 0.213
N 0.787 0.213 0.787
N 0.787 0.787 0.213